No. 1
# KBaHgS2
Calculated X-ray powder pattern, Cu Kα (weighted mean of Kα1 and Kα2). Input: a GGA-PBE-relaxed structure.

Crystal structure
```
data_KBaHgS2
_chemical_formula_sum 'K2 Ba2 Hg2 S4'
_cell_length_a 7.691
_cell_length_b 5.091
_cell_length_c 8.544
_cell_angle_alpha 90.00
_cell_angle_beta 102.06
_cell_angle_gamma 90.00
_symmetry_space_group_name_H-M 'P 1 2/c 1'
_symmetry_Int_Tables_number 13
loop_
_symmetry_equiv_pos_as_xyz
'x,y,z'
'-x,-y,-z'
'-x,y,-z+1/2'
'x,-y,z+1/2'
loop_
_atom_site_label
_atom_site_fract_x
_atom_site_fract_y
_atom_site_fract_z
K1 0.000 0.019 0.250
Ba1 0.500 0.303 0.750
Hg1 0.000 0.500 0.000
S1 0.297 0.199 0.036
```

Principal peaks in the range 10° ≤ 2θ ≤ 90°, by intensity:
- hkl 1 0 -2, 2θ 22.08, d 4.027, rel. 100
- hkl 1 1 -2, 2θ 28.26, d 3.158, rel. 96
- hkl 2 0 0, 2θ 23.66, d 3.761, rel. 94
- hkl 1 1 2, 2θ 31.87, d 2.808, rel. 80
- hkl 1 2 0, 2θ 37.29, d 2.411, rel. 75
- hkl 1 1 1, 2θ 24.74, d 3.598, rel. 60

=====

No. 2
# KBaHgTe2
Calculated X-ray powder pattern, Cu Kα (weighted mean of Kα1 and Kα2). Input: a GGA-PBE-relaxed structure.

Crystal structure
```
data_KBaHgTe2
_chemical_formula_sum 'K2 Ba2 Hg2 Te4'
_cell_length_a 8.325
_cell_length_b 5.310
_cell_length_c 9.545
_cell_angle_alpha 90.00
_cell_angle_beta 100.18
_cell_angle_gamma 90.00
_symmetry_space_group_name_H-M 'P 1 2/c 1'
_symmetry_Int_Tables_number 13
loop_
_symmetry_equiv_pos_as_xyz
'x,y,z'
'-x,-y,-z'
'-x,y,-z+1/2'
'x,-y,z+1/2'
loop_
_atom_site_label
_atom_site_fract_x
_atom_site_fract_y
_atom_site_fract_z
K1 0.000 0.025 0.250
Ba1 0.500 0.352 0.750
Hg1 0.000 0.500 0.000
Te1 0.308 0.159 0.028
```

Principal peaks in the range 10° ≤ 2θ ≤ 90°, by intensity:
- hkl 1 1 2, 2θ 28.91, d 3.088, rel. 100
- hkl 1 1 -2, 2θ 26.21, d 3.400, rel. 96
- hkl 1 1 1, 2θ 22.90, d 3.884, rel. 92
- hkl 2 1 0, 2θ 27.50, d 3.244, rel. 78
- hkl 1 0 -2, 2θ 20.06, d 4.427, rel. 59
- hkl 0 0 2, 2θ 18.89, d 4.697, rel. 56

=====

No. 3
# BaSr2LaHg
Calculated X-ray powder pattern, Cu Kα (weighted mean of Kα1 and Kα2). Input: a GGA-PBE-relaxed structure.

Crystal structure
```
data_BaSr2LaHg
_chemical_formula_sum 'Ba1 Sr2 La1 Hg1'
_cell_length_a 6.396
_cell_length_b 6.396
_cell_length_c 6.096
_cell_angle_alpha 90.00
_cell_angle_beta 90.00
_cell_angle_gamma 90.00
_symmetry_space_group_name_H-M 'P 4/m m m'
_symmetry_Int_Tables_number 123
_symmetry_space_group_name_Hall '-P 4 2'
loop_
_atom_site_label
_atom_site_fract_x
_atom_site_fract_y
_atom_site_fract_z
Ba1 0.000 0.000 0.000
Sr1 0.000 0.500 0.500
La1 0.500 0.500 0.000
Hg1 0.500 0.500 0.500
```

Principal peaks in the range 10° ≤ 2θ ≤ 90°, by intensity:
- hkl 2 0 0, 2θ 27.90, d 3.198, rel. 100
- hkl 2 0 2, 2θ 40.90, d 2.206, rel. 72
- hkl 1 0 0, 2θ 13.84, d 6.396, rel. 50
- hkl 1 1 0, 2θ 19.63, d 4.523, rel. 47
- hkl 0 0 2, 2θ 29.30, d 3.048, rel. 44
- hkl 1 1 1, 2θ 24.51, d 3.632, rel. 41

=====

No. 4
# Ba3LiHg
Calculated X-ray powder pattern, Cu Kα (weighted mean of Kα1 and Kα2). Input: a GGA-PBE-relaxed structure.

Crystal structure
```
data_Ba3LiHg
_chemical_formula_sum 'Ba12 Li4 Hg4'
_cell_length_a 6.057
_cell_length_b 23.893
_cell_length_c 6.043
_cell_angle_alpha 90.00
_cell_angle_beta 90.00
_cell_angle_gamma 90.00
_symmetry_space_group_name_H-M 'C m c m'
_symmetry_Int_Tables_number 63
_symmetry_space_group_name_Hall '-C 2c 2'
loop_
_atom_site_label
_atom_site_fract_x
_atom_site_fract_y
_atom_site_fract_z
Ba1 0.000 0.074 0.250
Ba2 0.000 0.250 0.250
Ba3 0.000 0.426 0.250
Li1 0.000 0.159 0.750
Hg1 0.000 0.342 0.750
```

Principal peaks in the range 10° ≤ 2θ ≤ 90°, by intensity:
- hkl 1 5 1, 2θ 27.99, d 3.187, rel. 100
- hkl 2 0 0, 2θ 29.53, d 3.025, rel. 57
- hkl 3 5 1, 2θ 51.45, d 1.776, rel. 37
- hkl 2 0 2, 2θ 42.25, d 2.139, rel. 22
- hkl 0 2 1, 2θ 16.44, d 5.392, rel. 20
- hkl 1 7 1, 2θ 33.59, d 2.668, rel. 18

=====

No. 5
# BaLi2Hg10
Calculated X-ray powder pattern, Cu Kα (weighted mean of Kα1 and Kα2). Input: a GGA-PBE-relaxed structure.

Crystal structure
```
data_BaLi2Hg10
_chemical_formula_sum 'Ba4 Li8 Hg40'
_cell_length_a 6.134
_cell_length_b 13.623
_cell_length_c 15.864
_cell_angle_alpha 90.00
_cell_angle_beta 90.00
_cell_angle_gamma 90.00
_symmetry_space_group_name_H-M 'F m m m'
_symmetry_Int_Tables_number 69
_symmetry_space_group_name_Hall '-F 2 2'
loop_
_atom_site_label
_atom_site_fract_x
_atom_site_fract_y
_atom_site_fract_z
Ba1 0.000 0.000 0.000
Li1 0.250 0.000 0.250
Hg1 0.000 0.110 0.378
Hg2 0.000 0.160 0.179
Hg3 0.250 0.250 0.000
```

Principal peaks in the range 10° ≤ 2θ ≤ 90°, by intensity:
- hkl 1 1 5, 2θ 32.44, d 2.760, rel. 100
- hkl 0 4 4, 2θ 34.72, d 2.584, rel. 92
- hkl 0 0 6, 2θ 33.96, d 2.640, rel. 90
- hkl 2 4 0, 2θ 39.54, d 2.279, rel. 78
- hkl 1 5 1, 2θ 36.51, d 2.461, rel. 65
- hkl 2 0 0, 2θ 29.12, d 3.067, rel. 65

=====

No. 6
# Ba7Li2Hg2
Calculated X-ray powder pattern, Cu Kα (weighted mean of Kα1 and Kα2). Input: a GGA-PBE-relaxed structure.

Crystal structure
```
data_Ba7Li2Hg2
_chemical_formula_sum 'Ba14 Li4 Hg4'
_cell_length_a 9.643
_cell_length_b 13.390
_cell_length_c 8.679
_cell_angle_alpha 90.00
_cell_angle_beta 90.00
_cell_angle_gamma 90.00
_symmetry_space_group_name_H-M 'C m m m'
_symmetry_Int_Tables_number 65
_symmetry_space_group_name_Hall '-C 2 2'
loop_
_atom_site_label
_atom_site_fract_x
_atom_site_fract_y
_atom_site_fract_z
Ba1 0.000 0.000 0.000
Ba2 0.000 0.500 0.246
Ba3 0.250 0.250 0.264
Li1 0.158 0.000 0.500
Hg1 0.000 0.287 0.000
```

Principal peaks in the range 10° ≤ 2θ ≤ 90°, by intensity:
- hkl 2 2 2, 2θ 30.77, d 2.906, rel. 100
- hkl 0 0 1, 2θ 10.19, d 8.679, rel. 69
- hkl 0 4 0, 2θ 26.63, d 3.348, rel. 48
- hkl 1 3 2, 2θ 30.18, d 2.961, rel. 45
- hkl 2 0 1, 2θ 21.08, d 4.215, rel. 43
- hkl 0 2 0, 2θ 13.22, d 6.695, rel. 40

=====

No. 7
# Ba4Li3Hg2
Calculated X-ray powder pattern, Cu Kα (weighted mean of Kα1 and Kα2). Input: a GGA-PBE-relaxed structure.

Crystal structure
```
data_Ba4Li3Hg2
_chemical_formula_sum 'Ba8 Li6 Hg4'
_cell_length_a 18.797
_cell_length_b 4.599
_cell_length_c 8.302
_cell_angle_alpha 90.00
_cell_angle_beta 107.39
_cell_angle_gamma 90.00
_symmetry_space_group_name_H-M 'C 1 2/m 1'
_symmetry_Int_Tables_number 12
loop_
_symmetry_equiv_pos_as_xyz
'x,y,z'
'-x,-y,-z'
'-x,y,-z'
'x,-y,z'
'x+1/2,y+1/2,z'
'-x+1/2,-y+1/2,-z'
'-x+1/2,y+1/2,-z'
'x+1/2,-y+1/2,z'
loop_
_atom_site_label
_atom_site_fract_x
_atom_site_fract_y
_atom_site_fract_z
Ba1 0.074 0.000 0.358
Ba2 0.237 0.500 0.208
Li1 0.000 0.500 0.000
Li2 0.093 0.500 0.744
Hg1 0.102 0.000 0.950
```

Principal peaks in the range 10° ≤ 2θ ≤ 90°, by intensity:
- hkl 1 1 0, 2θ 19.93, d 4.455, rel. 100
- hkl 4 0 -2, 2θ 25.16, d 3.540, rel. 82
- hkl 5 1 0, 2θ 31.63, d 2.829, rel. 56
- hkl 0 0 1, 2θ 11.17, d 7.922, rel. 53
- hkl 1 1 2, 2θ 31.31, d 2.857, rel. 47
- hkl 2 0 3, 2θ 38.29, d 2.350, rel. 46

=====

No. 8
# Ba2Li17Hg3
Calculated X-ray powder pattern, Cu Kα (weighted mean of Kα1 and Kα2). Input: a GGA-PBE-relaxed structure.

Crystal structure
```
data_Ba2Li17Hg3
_chemical_formula_sum 'Ba6 Li51 Hg9'
_cell_length_a 11.1547
_cell_length_b 11.1547
_cell_length_c 15.6325
_cell_angle_alpha 90.00
_cell_angle_beta 90.00
_cell_angle_gamma 120.00
_symmetry_space_group_name_H-M 'R -3 m'
_symmetry_Int_Tables_number 166
_symmetry_space_group_name_Hall '-R 3 2"'
loop_
_atom_site_label
_atom_site_fract_x
_atom_site_fract_y
_atom_site_fract_z
Ba1 0.0000 0.0000 0.1674
Li1 0.0000 0.0000 0.4089
Li2 0.0000 0.2595 0.5000
Li3 0.0000 0.5000 0.0000
Li4 0.0037 0.5018 0.6737
Hg1 0.0000 0.5000 0.5000
```

Principal peaks in the range 10° ≤ 2θ ≤ 90°, by intensity:
- hkl 1 0 1, 2θ 10.77, d 8.218, rel. 100
- hkl 0 0 3, 2θ 17.02, d 5.211, rel. 92
- hkl 2 2 3, 2θ 36.55, d 2.459, rel. 78
- hkl 2 2 0, 2θ 32.10, d 2.789, rel. 70
- hkl 0 2 1, 2θ 19.23, d 4.615, rel. 62
- hkl 0 1 2, 2θ 14.58, d 6.076, rel. 55